Starting from a PBE+U-relaxed structure, the powder diffraction line list of SrPuCr2O8 was simulated for Cu Kα, 1.54184 Å.
No peak broadening, texture or thermal motion is included.

Crystal structure
```
SrPuCr2O8
1.0
5.7301 0.0000 0.0000
-2.8650 4.9624 0.0000
0.0000 0.0000 7.0610
Sr Pu Cr O
1 1 2 8
direct
0.0000 0.0000 0.0000 Sr
0.0000 0.0000 0.5000 Pu
0.3333 0.6667 0.2206 Cr
0.6667 0.3333 0.7794 Cr
0.1628 0.3256 0.3027 O
0.1628 0.8372 0.3027 O
0.3256 0.1628 0.6973 O
0.3333 0.6667 0.9866 O
0.6667 0.3333 0.0134 O
0.6744 0.8372 0.3027 O
0.8372 0.1628 0.6973 O
0.8372 0.6744 0.6973 O
```

Most intense lines, 2θ from 10° to 90°, by angle:
(hkl), 2θ/deg, I (rel.)
1 0 0, 17.87, 100
1 0 1, 21.89, 81
0 1 2, 31.09, 85
1 1 0, 31.22, 67
1 1 2, 40.55, 28
2 0 2, 44.64, 44
2 1 0, 48.54, 15
2 1 1, 50.34, 17
3 0 0, 55.50, 48
1 1 4, 61.72, 18